[1]
For Li2ScFeSi4O12, a structure optimized by DFT (PBE+U) gives the calculated powder X-ray diffraction pattern in this record (Cu Kα).
Kinematic intensities with the Lorentz-polarization factor, no thermal factor.

```
data_Li2ScFeSi4O12
_chemical_formula_sum 'Li4 Sc2 Fe2 Si8 O24'
_cell_length_a 9.898
_cell_length_b 8.926
_cell_length_c 5.389
_cell_angle_alpha 90.00
_cell_angle_beta 110.64
_cell_angle_gamma 90.00
_space_group_name_H-M_alt 'C 1 2 1'
_space_group_IT_number 5
_space_group_name_Hall 'C 2y'
loop_
_atom_site_label
_atom_site_fract_x
_atom_site_fract_y
_atom_site_fract_z
Li1 0.000 0.000 0.000
Li2 0.000 0.495 0.500
Sc1 0.000 0.642 0.000
Fe1 0.000 0.852 0.500
Si1 0.203 0.156 0.475
Si2 0.203 0.332 0.979
O1 0.118 0.832 0.896
O2 0.119 0.662 0.411
O3 0.129 0.991 0.414
O4 0.130 0.496 0.913
O5 0.144 0.244 0.189
O6 0.149 0.242 0.694
```

Peak list (12 most intense, 15° ≤ 2θ ≤ 90°, by angle)
| d (Å) | Position (°2θ) | I_rel | index |
| --- | --- | --- | --- |
| 4.544 | 19.5 | 28 | 1 1 -1 |
| 4.463 | 19.9 | 28 | 0 2 0 |
| 3.567 | 25.0 | 38 | 1 1 1 |
| 3.072 | 29.1 | 100 | 2 2 -1 |
| 2.918 | 30.6 | 59 | 3 1 0 |
| 2.522 | 35.6 | 30 | 0 0 2 |
| 2.452 | 36.6 | 21 | 2 2 1 |
| 2.173 | 41.6 | 31 | 3 3 -1 |
| 1.974 | 46.0 | 13 | 2 4 -1 |
| 1.666 | 55.1 | 19 | 2 2 -3 |
| 1.648 | 55.8 | 17 | 5 3 -1 |
| 1.388 | 67.5 | 16 | 5 3 1 |

***

[2]
For Li4FeSi2O8, a structure optimized by DFT (PBE+U) gives the calculated powder X-ray diffraction pattern in this record (Cu Kα).
Kinematic intensities with the Lorentz-polarization factor, no thermal factor.

```
data_Li4FeSi2O8
_chemical_formula_sum 'Li4 Fe1 Si2 O8'
_cell_length_a 4.858
_cell_length_b 5.468
_cell_length_c 6.146
_cell_angle_alpha 96.89
_cell_angle_beta 92.19
_cell_angle_gamma 97.92
_space_group_name_H-M_alt 'P -1'
_space_group_IT_number 2
_space_group_name_Hall '-P 1'
loop_
_atom_site_label
_atom_site_fract_x
_atom_site_fract_y
_atom_site_fract_z
Li1 0.166 0.294 0.026
Li2 0.219 0.528 0.688
Fe1 0.000 0.000 0.500
Si1 0.357 0.821 0.227
O1 0.177 0.704 0.432
O2 0.240 0.097 0.268
O3 0.243 0.667 0.994
O4 0.310 0.181 0.732
```

Peak list (12 most intense, 15° ≤ 2θ ≤ 90°, by angle)
| d (Å) | Position (°2θ) | I_rel | index |
| --- | --- | --- | --- |
| 5.373 | 16.5 | 64 | 0 1 0 |
| 4.309 | 20.6 | 100 | 0 1 -1 |
| 3.674 | 24.2 | 50 | 1 0 1 |
| 3.350 | 26.6 | 15 | 1 1 0 |
| 2.800 | 32.0 | 28 | 1 1 1 |
| 2.640 | 34.0 | 17 | 1 0 -2 |
| 2.511 | 35.8 | 18 | 1 0 2 |
| 2.503 | 35.9 | 22 | 1 -2 0 |
| 2.400 | 37.5 | 25 | 1 1 -2 |
| 1.836 | 49.7 | 18 | 1 1 -3 |
| 1.524 | 60.8 | 16 | 2 -3 1 |
| 1.465 | 63.5 | 14 | 0 3 2 |

***

[3]
For Li5Fe5Si7O24, a structure optimized by DFT (PBE+U) gives the calculated powder X-ray diffraction pattern in this record (Cu Kα).
Kinematic intensities with the Lorentz-polarization factor, no thermal factor.

```
data_Li5Fe5Si7O24
_chemical_formula_sum 'Li5 Fe5 Si7 O24'
_cell_length_a 7.825
_cell_length_b 7.905
_cell_length_c 9.539
_cell_angle_alpha 88.78
_cell_angle_beta 89.66
_cell_angle_gamma 89.38
_space_group_name_H-M_alt 'P 1'
_space_group_IT_number 1
_space_group_name_Hall 'P 1'
loop_
_atom_site_label
_atom_site_fract_x
_atom_site_fract_y
_atom_site_fract_z
Li1 0.000 0.000 0.000
Li2 0.086 0.580 0.735
Li3 0.297 0.252 0.280
Li4 0.500 0.503 0.272
Li5 0.786 0.236 0.988
Fe1 0.097 0.117 0.731
Fe2 0.384 0.176 0.004
Fe3 0.596 0.381 0.534
Fe4 0.878 0.319 0.262
Fe5 0.959 0.612 0.999
Si1 0.134 0.823 0.473
Si2 0.177 0.419 0.497
Si3 0.372 0.585 0.016
Si4 0.436 0.873 0.251
Si5 0.657 0.672 0.780
Si6 0.681 0.073 0.764
Si7 0.838 0.902 0.243
O1 0.079 0.329 0.368
O2 0.125 0.621 0.523
O3 0.129 0.936 0.611
O4 0.136 0.337 0.652
O5 0.193 0.616 0.933
O6 0.199 0.096 0.909
O7 0.316 0.850 0.390
O8 0.375 0.397 0.441
O9 0.381 0.396 0.094
O10 0.389 0.055 0.180
O11 0.394 0.707 0.155
O12 0.539 0.615 0.918
O13 0.580 0.165 0.895
O14 0.599 0.568 0.647
O15 0.626 0.875 0.754
O16 0.640 0.854 0.289
O17 0.651 0.172 0.617
O18 0.700 0.418 0.358
O19 0.849 0.098 0.185
O20 0.859 0.634 0.819
O21 0.878 0.090 0.823
O22 0.895 0.411 0.080
O23 0.909 0.801 0.107
O24 0.967 0.864 0.375
```

Peak list (12 most intense, 15° ≤ 2θ ≤ 90°, by angle)
| d (Å) | Position (°2θ) | I_rel | index |
| --- | --- | --- | --- |
| 4.864 | 18.2 | 9 | 1 1 1 |
| 4.794 | 18.5 | 14 | 1 1 -1 |
| 4.122 | 21.6 | 17 | 0 1 2 |
| 4.055 | 21.9 | 20 | 1 0 -2 |
| 3.678 | 24.2 | 31 | 0 2 1 |
| 3.626 | 24.6 | 100 | 0 2 -1 |
| 3.612 | 24.6 | 34 | 2 0 -1 |
| 3.593 | 24.8 | 23 | 1 -1 2 |
| 3.316 | 26.9 | 8 | -1 2 1 |
| 3.281 | 27.2 | 8 | -2 1 1 |
| 2.383 | 37.8 | 9 | 0 0 4 |
| 1.976 | 45.9 | 11 | 0 4 0 |

***

[4]
For LiFeSiO4, a structure optimized by DFT (PBE+U) gives the calculated powder X-ray diffraction pattern in this record (Cu Kα).
Kinematic intensities with the Lorentz-polarization factor, no thermal factor.

```
data_LiFeSiO4
_chemical_formula_sum 'Li4 Fe4 Si4 O16'
_cell_length_a 8.615
_cell_length_b 5.202
_cell_length_c 8.508
_cell_angle_alpha 90.00
_cell_angle_beta 107.44
_cell_angle_gamma 90.00
_space_group_name_H-M_alt 'P 1 c 1'
_space_group_IT_number 7
_space_group_name_Hall 'P -2yc'
loop_
_atom_site_label
_atom_site_fract_x
_atom_site_fract_y
_atom_site_fract_z
Li1 0.000 0.165 0.000
Li2 0.486 0.324 0.342
Fe1 0.244 0.173 0.762
Fe2 0.735 0.327 0.106
Si1 0.118 0.322 0.376
Si2 0.614 0.182 0.733
O1 0.099 0.187 0.544
O2 0.150 0.367 0.900
O3 0.270 0.180 0.328
O4 0.452 0.300 0.773
O5 0.594 0.128 0.194
O6 0.643 0.338 0.576
O7 0.766 0.238 0.900
O8 0.955 0.264 0.221
```

Peak list (12 most intense, 15° ≤ 2θ ≤ 90°, by angle)
| d (Å) | Position (°2θ) | I_rel | index |
| --- | --- | --- | --- |
| 4.389 | 20.2 | 20 | 1 1 0 |
| 4.156 | 21.4 | 100 | 1 1 -1 |
| 4.109 | 21.6 | 68 | 2 0 0 |
| 4.058 | 21.9 | 24 | 0 0 2 |
| 3.271 | 27.3 | 82 | 1 0 2 |
| 3.253 | 27.4 | 12 | 1 1 -2 |
| 2.875 | 31.1 | 23 | 2 1 -2 |
| 2.601 | 34.5 | 30 | 0 2 0 |
| 2.424 | 37.1 | 11 | 3 1 0 |
| 2.008 | 45.1 | 16 | 3 0 2 |
| 1.930 | 47.1 | 11 | 3 0 -4 |
| 1.549 | 59.7 | 18 | 2 3 -2 |

***

[5]
For LiFeSi3O8, a structure optimized by DFT (PBE+U) gives the calculated powder X-ray diffraction pattern in this record (Cu Kα).
Kinematic intensities with the Lorentz-polarization factor, no thermal factor.

```
data_LiFeSi3O8
_chemical_formula_sum 'Li2 Fe2 Si6 O16'
_cell_length_a 7.224
_cell_length_b 7.333
_cell_length_c 7.851
_cell_angle_alpha 114.77
_cell_angle_beta 111.46
_cell_angle_gamma 97.48
_space_group_name_H-M_alt 'P -1'
_space_group_IT_number 2
_space_group_name_Hall '-P 1'
loop_
_atom_site_label
_atom_site_fract_x
_atom_site_fract_y
_atom_site_fract_z
Li1 0.119 0.253 0.314
Fe1 0.192 0.849 0.159
Si1 0.251 0.172 0.811
Si2 0.289 0.580 0.786
Si3 0.373 0.777 0.545
O1 0.052 0.085 0.839
O2 0.145 0.706 0.873
O3 0.206 0.326 0.708
O4 0.268 0.575 0.566
O5 0.285 0.698 0.295
O6 0.288 0.970 0.650
O7 0.370 0.141 0.323
O8 0.464 0.308 0.038
```

Peak list (12 most intense, 15° ≤ 2θ ≤ 90°, by angle)
| d (Å) | Position (°2θ) | I_rel | index |
| --- | --- | --- | --- |
| 5.467 | 16.2 | 14 | 1 -1 0 |
| 4.055 | 21.9 | 52 | -1 1 1 |
| 3.857 | 23.1 | 29 | 1 1 0 |
| 3.689 | 24.1 | 20 | 1 0 1 |
| 3.653 | 24.4 | 25 | 0 1 -2 |
| 3.632 | 24.5 | 42 | 0 2 -1 |
| 3.239 | 27.5 | 49 | -2 1 1 |
| 3.164 | 28.2 | 100 | 0 2 -2 |
| 3.152 | 28.3 | 16 | 0 0 2 |
| 3.060 | 29.2 | 21 | 2 0 -2 |
| 2.994 | 29.8 | 33 | 2 1 -1 |
| 2.610 | 34.4 | 22 | 1 1 -3 |

***

[6]
For LiFeSiO4, a structure optimized by DFT (PBE+U) gives the calculated powder X-ray diffraction pattern in this record (Cu Kα).
Kinematic intensities with the Lorentz-polarization factor, no thermal factor.

```
data_LiFeSiO4
_chemical_formula_sum 'Li6 Fe6 Si6 O24'
_cell_length_a 5.2460
_cell_length_b 5.2460
_cell_length_c 23.9381
_cell_angle_alpha 90.00
_cell_angle_beta 90.00
_cell_angle_gamma 120.00
_space_group_name_H-M_alt 'R -3'
_space_group_IT_number 148
_space_group_name_Hall '-R 3'
loop_
_atom_site_label
_atom_site_fract_x
_atom_site_fract_y
_atom_site_fract_z
Li1 0.0000 0.0000 0.1177
Fe1 0.0000 0.0000 0.2658
Si1 0.0000 0.0000 0.4099
O1 0.0000 0.0000 0.3421
O2 0.0212 0.7125 0.4322
```

Peak list (12 most intense, 15° ≤ 2θ ≤ 90°, by angle)
| d (Å) | Position (°2θ) | I_rel | index |
| --- | --- | --- | --- |
| 4.463 | 19.9 | 70 | 1 0 1 |
| 4.247 | 20.9 | 76 | 0 1 2 |
| 3.990 | 22.3 | 100 | 0 0 6 |
| 2.732 | 32.8 | 26 | 1 0 7 |
| 2.623 | 34.2 | 63 | 1 1 0 |
| 2.492 | 36.0 | 47 | 1 1 3 |
| 2.192 | 41.2 | 24 | 1 1 6 |
| 1.868 | 48.8 | 21 | 1 1 9 |
| 1.707 | 53.7 | 18 | 1 0 13 |
| 1.514 | 61.2 | 28 | 3 0 0 |
| 1.416 | 66.0 | 19 | 0 3 6 |
| 1.363 | 68.9 | 21 | 1 1 15 |

***

[7]
For Li2FeSiO4, a structure optimized by DFT (PBE+U) gives the calculated powder X-ray diffraction pattern in this record (Cu Kα).
Kinematic intensities with the Lorentz-polarization factor, no thermal factor.

```
data_Li2FeSiO4
_chemical_formula_sum 'Li4 Fe2 Si2 O8'
_cell_length_a 5.500
_cell_length_b 5.054
_cell_length_c 6.308
_cell_angle_alpha 90.00
_cell_angle_beta 91.47
_cell_angle_gamma 90.00
_space_group_name_H-M_alt 'P 1 21 1'
_space_group_IT_number 4
_space_group_name_Hall 'P 2yb'
loop_
_atom_site_label
_atom_site_fract_x
_atom_site_fract_y
_atom_site_fract_z
Li1 0.154 0.000 0.274
Li2 0.333 0.499 0.503
Fe1 0.316 0.502 0.014
Si1 0.178 0.005 0.744
O1 0.105 0.394 0.252
O2 0.174 0.332 0.749
O3 0.320 0.913 0.975
O4 0.323 0.893 0.542
```

Peak list (12 most intense, 15° ≤ 2θ ≤ 90°, by angle)
| d (Å) | Position (°2θ) | I_rel | index |
| --- | --- | --- | --- |
| 4.198 | 21.2 | 72 | 1 0 -1 |
| 3.944 | 22.5 | 76 | 0 1 1 |
| 3.229 | 27.6 | 38 | 1 1 -1 |
| 3.180 | 28.1 | 100 | 1 1 1 |
| 2.766 | 32.4 | 35 | 1 0 -2 |
| 2.749 | 32.6 | 70 | 2 0 0 |
| 2.705 | 33.1 | 66 | 1 0 2 |
| 2.527 | 35.5 | 99 | 0 2 0 |
| 2.426 | 37.1 | 52 | 1 1 -2 |
| 2.385 | 37.7 | 40 | 1 1 2 |
| 1.845 | 49.4 | 43 | 1 1 -3 |
| 1.567 | 58.9 | 36 | 3 0 2 |

***

[8]
For Li2Fe2Si8O19, a structure optimized by DFT (PBE+U) gives the calculated powder X-ray diffraction pattern in this record (Cu Kα).
Kinematic intensities with the Lorentz-polarization factor, no thermal factor.

```
data_Li2Fe2Si8O19
_chemical_formula_sum 'Li2 Fe2 Si8 O19'
_cell_length_a 4.914
_cell_length_b 7.430
_cell_length_c 11.691
_cell_angle_alpha 71.56
_cell_angle_beta 80.90
_cell_angle_gamma 71.80
_space_group_name_H-M_alt 'P 1'
_space_group_IT_number 1
_space_group_name_Hall 'P 1'
loop_
_atom_site_label
_atom_site_fract_x
_atom_site_fract_y
_atom_site_fract_z
Li1 0.000 0.000 0.000
Li2 0.437 0.033 0.180
Fe1 0.362 0.244 0.926
Fe2 0.933 0.691 0.209
Si1 0.202 0.296 0.459
Si2 0.314 0.701 0.408
Si3 0.465 0.583 0.684
Si4 0.568 0.733 0.037
Si5 0.790 0.305 0.107
Si6 0.804 0.107 0.376
Si7 0.837 0.772 0.768
Si8 0.947 0.188 0.729
O1 0.014 0.882 0.402
O2 0.074 0.295 0.595
O3 0.108 0.168 0.085
O4 0.141 0.142 0.838
O5 0.165 0.618 0.770
O6 0.213 0.524 0.379
O7 0.240 0.741 0.082
O8 0.405 0.611 0.547
O9 0.520 0.135 0.469
O10 0.558 0.767 0.310
O11 0.576 0.338 0.009
O12 0.628 0.349 0.749
O13 0.657 0.729 0.677
O14 0.661 0.913 0.056
O15 0.663 0.729 0.897
O16 0.671 0.181 0.244
O17 0.785 0.523 0.122
O18 0.871 0.995 0.718
O19 0.995 0.247 0.384
```

Peak list (12 most intense, 15° ≤ 2θ ≤ 90°, by angle)
| d (Å) | Position (°2θ) | I_rel | index |
| --- | --- | --- | --- |
| 4.196 | 21.2 | 29 | 1 0 -1 |
| 4.000 | 22.2 | 28 | 1 1 2 |
| 3.788 | 23.5 | 35 | 0 1 -2 |
| 3.688 | 24.1 | 64 | 0 0 3 |
| 3.453 | 25.8 | 63 | 1 0 -2 |
| 3.416 | 26.1 | 17 | 1 -1 0 |
| 3.383 | 26.3 | 100 | 0 2 0 |
| 3.357 | 26.6 | 99 | -1 1 1 |
| 3.276 | 27.2 | 36 | 1 1 3 |
| 3.243 | 27.5 | 72 | 1 2 2 |
| 2.395 | 37.6 | 25 | 1 -1 3 |
| 2.296 | 39.2 | 18 | 1 -2 1 |

***

[9]
For Li2Fe2Si2O7, a structure optimized by DFT (PBE+U) gives the calculated powder X-ray diffraction pattern in this record (Cu Kα).
Kinematic intensities with the Lorentz-polarization factor, no thermal factor.

```
data_Li2Fe2Si2O7
_chemical_formula_sum 'Li8 Fe8 Si8 O28'
_cell_length_a 13.392
_cell_length_b 10.051
_cell_length_c 4.928
_cell_angle_alpha 90.00
_cell_angle_beta 90.00
_cell_angle_gamma 90.00
_space_group_name_H-M_alt 'A m a 2'
_space_group_IT_number 40
_space_group_name_Hall 'A 2 -2a'
loop_
_atom_site_label
_atom_site_fract_x
_atom_site_fract_y
_atom_site_fract_z
Li1 0.000 0.000 0.000
Li2 0.250 0.021 0.019
Fe1 0.087 0.279 0.091
Si1 0.136 0.099 0.572
O1 0.062 0.211 0.707
O2 0.122 0.456 0.224
O3 0.125 0.093 0.242
O4 0.250 0.151 0.666
```

Peak list (12 most intense, 15° ≤ 2θ ≤ 90°, by angle)
| d (Å) | Position (°2θ) | I_rel | index |
| --- | --- | --- | --- |
| 5.026 | 17.6 | 45 | 0 2 0 |
| 4.705 | 18.9 | 46 | 1 2 0 |
| 4.425 | 20.1 | 83 | 0 1 1 |
| 4.019 | 22.1 | 46 | 2 2 0 |
| 3.348 | 26.6 | 82 | 4 0 0 |
| 3.143 | 28.4 | 100 | 3 1 1 |
| 2.771 | 32.3 | 35 | 0 3 1 |
| 2.713 | 33.0 | 38 | 1 3 1 |
| 2.670 | 33.6 | 26 | 4 1 1 |
| 2.465 | 36.5 | 55 | 0 0 2 |
| 2.354 | 38.2 | 57 | 3 3 1 |
| 2.040 | 44.4 | 27 | 6 2 0 |

***

[10]
For Li2Fe2Si2O7, a structure optimized by DFT (PBE+U) gives the calculated powder X-ray diffraction pattern in this record (Cu Kα).
Kinematic intensities with the Lorentz-polarization factor, no thermal factor.

```
data_Li2Fe2Si2O7
_chemical_formula_sum 'Li2 Fe2 Si2 O7'
_cell_length_a 5.372
_cell_length_b 5.437
_cell_length_c 7.227
_cell_angle_alpha 69.24
_cell_angle_beta 79.00
_cell_angle_gamma 60.69
_space_group_name_H-M_alt 'P -1'
_space_group_IT_number 2
_space_group_name_Hall '-P 1'
loop_
_atom_site_label
_atom_site_fract_x
_atom_site_fract_y
_atom_site_fract_z
Li1 0.176 0.420 0.351
Fe1 0.200 0.892 0.665
Si1 0.499 0.186 0.766
O1 0.210 0.257 0.665
O2 0.217 0.029 0.343
O3 0.492 0.510 0.258
O4 0.500 0.000 0.000
```

Peak list (12 most intense, 15° ≤ 2θ ≤ 90°, by angle)
| d (Å) | Position (°2θ) | I_rel | index |
| --- | --- | --- | --- |
| 4.515 | 19.7 | 100 | 0 1 0 |
| 4.396 | 20.2 | 29 | 1 1 1 |
| 3.811 | 23.3 | 87 | 1 0 -1 |
| 3.378 | 26.4 | 87 | 0 0 2 |
| 3.225 | 27.7 | 34 | 1 1 2 |
| 2.716 | 33.0 | 88 | 1 2 1 |
| 2.660 | 33.7 | 36 | -1 1 1 |
| 2.637 | 34.0 | 64 | 2 1 1 |
| 2.331 | 38.6 | 23 | 1 1 3 |
| 2.252 | 40.0 | 39 | 0 0 3 |
| 2.227 | 40.5 | 25 | 2 0 1 |
| 1.562 | 59.1 | 37 | 0 3 2 |